Theoretical XRD peak list
Compound: BePb3
Radiation: Cu Kα
Structure: a PBE-relaxed structure
Peak positions follow from Bragg's law for the DFT cell and can differ from measured ones.

Cell and atoms:
```
data_BePb3
_chemical_formula_sum 'Be2 Pb6'
_space_group_name_H-M_alt 'P 63/m m c'
_space_group_IT_number 194
_space_group_name_Hall '-P 6c 2c'
_cell_length_a 6.4937
_cell_length_b 6.4937
_cell_length_c 5.8439
_cell_angle_alpha 90.00
_cell_angle_beta 90.00
_cell_angle_gamma 120.00
loop_
_atom_site_label
_atom_site_type_symbol
_atom_site_fract_x
_atom_site_fract_y
_atom_site_fract_z
Be1 Be 0.3333 0.6667 0.2500
Pb1 Pb 0.1712 0.3424 0.7500
```

Top 10 peaks for 2θ = 15–90°, sorted by position:
| 2theta | I/Imax | hkl |
| --- | --- | --- |
| 21.93 | 381 | 1 0 1 |
| 27.47 | 129 | 1 1 0 |
| 30.60 | 327 | 0 0 2 |
| 31.82 | 220 | 2 0 0 |
| 35.43 | 1000 | 2 0 1 |
| 44.73 | 176 | 2 0 2 |
| 56.70 | 175 | 2 2 0 |
| 57.56 | 254 | 2 0 3 |
| 65.81 | 226 | 2 2 2 |
| 68.66 | 150 | 4 0 1 |